Simulated powder diffraction line list of HoPuAg for Cu Kα, from the PBE geometry in Alexandria.
Intensities are scaled so that the largest is 100.

a b c (Å): 7.192 7.192 7.192
angles (deg): 152.70 152.70 38.99
Atoms (fractional coordinates):
Ho 0.000 0.000 0.000
Pu 0.694 0.694 0.000
Ag 0.355 0.355 0.000

Largest 6 diffraction maxima, most intense first, 15 to 90 degrees two-theta:
Position (°2θ)	Rel. int.
33.0	100
37.5	37
64.8	29
55.9	19
54.0	14
39.9	14